1.
This entry pairs a crystal structure of CeTm4Ga4 with its calculated powder diffractogram. Radiation: Cu Kα (λ = 1.5418 Å). Structure: a crystal structure in Alexandria, relaxed with GGA-PBE.

Peak list (10 most intense, 5 to 70 degrees two-theta, in order of rising 2θ)
d (Å), 2θ (°), I/Imax, hkl
6.482, 13.66, 19, 1 1 0
3.349, 26.62, 51, 2 1 1
2.899, 30.85, 100, 1 3 0
2.767, 32.35, 55, 1 0 2
2.593, 34.59, 18, 3 1 1
2.369, 37.98, 17, 1 2 2
2.105, 42.98, 32, 3 0 2
2.050, 44.18, 35, 4 2 0
1.913, 47.54, 23, 3 2 2
1.765, 51.80, 18, 1 4 2

Structural model:
```
data_CeTm4Ga4
_space_group_name_H-M_alt 'P 42/n'
_space_group_IT_number 86
_cell_length_a 9.167
_cell_length_b 9.167
_cell_length_c 5.806
_cell_angle_alpha 90.00
_cell_angle_beta 90.00
_cell_angle_gamma 90.00
loop_
_space_group_symop_operation_xyz
'x,y,z'
'-x,-y,-z'
'-y,x+1/2,z+1/2'
'y,-x+1/2,-z+1/2'
'-x+1/2,-y+1/2,z'
'x+1/2,y+1/2,-z'
'y+1/2,-x,z+1/2'
'-y+1/2,x,-z+1/2'
loop_
_atom_site_label
_atom_site_type_symbol
_atom_site_fract_x
_atom_site_fract_y
_atom_site_fract_z
Ce1 Ce 0.250 0.250 0.250
Tm1 Tm 0.081 0.653 0.131
Ga1 Ga 0.031 0.610 0.628
```



2.
This entry pairs a crystal structure of Ru2W3 with its calculated powder diffractogram. Radiation: Cu Kα (λ = 1.5418 Å). Structure: a crystal structure in Alexandria, relaxed with GGA-PBE.

Peak list (10 most intense, 5 to 70 degrees two-theta, in order of rising 2θ)
d (Å), 2θ (°), I/Imax, hkl
2.598, 34.53, 18, 4 2 1
2.485, 36.14, 17, 0 0 2
2.337, 38.53, 89, 5 3 0
2.274, 39.64, 21, 0 6 0
2.268, 39.74, 22, 6 0 0
2.209, 40.86, 38, 2 2 2
2.153, 41.97, 71, 3 1 2
2.115, 42.76, 100, 3 5 1
2.066, 43.83, 45, 0 6 1
1.352, 69.55, 23, 3 5 3

Structural model:
```
data_Ru2W3
_space_group_name_H-M_alt 'C m m 2'
_space_group_IT_number 35
_space_group_name_Hall 'C 2 -2'
_cell_length_a 13.609
_cell_length_b 13.643
_cell_length_c 4.971
_cell_angle_alpha 90.00
_cell_angle_beta 90.00
_cell_angle_gamma 90.00
loop_
_atom_site_label
_atom_site_type_symbol
_atom_site_fract_x
_atom_site_fract_y
_atom_site_fract_z
Ru1 Ru 0.000 0.000 0.000
Ru2 Ru 0.000 0.187 0.762
Ru3 Ru 0.000 0.500 0.496
Ru4 Ru 0.097 0.333 0.497
Ru5 Ru 0.166 0.098 0.999
W1 W 0.000 0.175 0.260
W2 W 0.000 0.397 0.996
W3 W 0.104 0.000 0.502
W4 W 0.166 0.294 0.002
W5 W 0.180 0.500 0.751
W6 W 0.181 0.500 0.249
W7 W 0.203 0.166 0.505
```



3.
This entry pairs a crystal structure of Ba2CeS4 with its calculated powder diffractogram. Radiation: Cu Kα (λ = 1.5418 Å). Structure: a crystal structure in Alexandria, relaxed with GGA-PBE.

Peak list (10 most intense, 5 to 70 degrees two-theta, in order of rising 2θ)
d (Å), 2θ (°), I/Imax, hkl
3.884, 22.89, 23, 2 0 0
3.671, 24.24, 99, 1 3 0
3.654, 24.36, 100, 1 1 1
3.592, 24.79, 33, 0 2 1
2.899, 30.85, 27, 1 4 0
2.833, 31.58, 69, 2 1 1
2.637, 34.00, 61, 2 2 1
2.196, 41.11, 50, 0 0 2
2.092, 43.25, 53, 1 5 1
1.884, 48.32, 31, 1 3 2

Structural model:
```
data_Ba2CeS4
_space_group_name_H-M_alt 'P b a m'
_space_group_IT_number 55
_space_group_name_Hall '-P 2 2ab'
_cell_length_a 7.769
_cell_length_b 12.496
_cell_length_c 4.389
_cell_angle_alpha 90.00
_cell_angle_beta 90.00
_cell_angle_gamma 90.00
loop_
_atom_site_label
_atom_site_type_symbol
_atom_site_fract_x
_atom_site_fract_y
_atom_site_fract_z
Ba1 Ba 0.080 0.181 0.000
Ce1 Ce 0.000 0.500 0.500
S1 S 0.134 0.697 0.500
S2 S 0.215 0.451 0.000
```



4.
This entry pairs a crystal structure of CsBaLaI6 with its calculated powder diffractogram. Radiation: Cu Kα (λ = 1.5418 Å). Structure: a crystal structure in Alexandria, relaxed with GGA-PBE.

Peak list (10 most intense, 5 to 70 degrees two-theta, in order of rising 2θ)
d (Å), 2θ (°), I/Imax, hkl
5.532, 16.02, 49, 1 0 2
3.848, 23.11, 100, 1 1 2
2.971, 30.08, 79, 1 1 4
2.700, 33.18, 28, 2 1 2
2.526, 35.54, 46, 3 0 0
2.296, 39.23, 26, 2 -1 6
2.034, 44.55, 17, 4 -1 2
1.924, 47.24, 17, 4 -2 4
1.579, 58.44, 17, 3 0 8
1.410, 66.30, 14, 4 2 2

Structural model:
```
data_CsBaLaI6
_space_group_name_H-M_alt 'P -3 1 c'
_space_group_IT_number 163
_space_group_name_Hall '-P 3 2c'
_cell_length_a 8.7486
_cell_length_b 8.7486
_cell_length_c 16.1895
_cell_angle_alpha 90.00
_cell_angle_beta 90.00
_cell_angle_gamma 120.00
loop_
_atom_site_label
_atom_site_type_symbol
_atom_site_fract_x
_atom_site_fract_y
_atom_site_fract_z
Cs1 Cs 0.0000 0.0000 0.0000
Ba1 Ba 0.3333 0.6667 0.2500
La1 La 0.3333 0.6667 0.7500
I1 I 0.0248 0.3860 0.6346
```